Entry 1:
Calculated XRD peak list of MgMn3SnO8 for λ = 1.5418 Å (Cu Kα), from a structure optimized by DFT (PBE+U).

Peak list (12 most intense, 2θ from 15° to 90°, in order of rising 2θ)
- 2θ = 17.6°, intensity 17
- 2θ = 18.0°, intensity 100
- 2θ = 20.7°, intensity 22
- 2θ = 34.2°, intensity 19
- 2θ = 34.7°, intensity 29
- 2θ = 36.4°, intensity 22
- 2θ = 42.1°, intensity 79
- 2θ = 46.5°, intensity 13
- 2θ = 55.6°, intensity 12
- 2θ = 60.4°, intensity 22
- 2θ = 61.6°, intensity 23
- 2θ = 77.4°, intensity 11

Structure:
```
data_MgMn3SnO8
_chemical_formula_sum 'Mg3 Mn9 Sn3 O24'
_cell_length_a 6.0221
_cell_length_b 6.0221
_cell_length_c 15.1385
_cell_angle_alpha 90.00
_cell_angle_beta 90.00
_cell_angle_gamma 120.00
_space_group_name_H-M_alt 'R -3 m'
_space_group_IT_number 166
_space_group_name_Hall '-R 3 2"'
loop_
_atom_site_label
_atom_site_type_symbol
_atom_site_fract_x
_atom_site_fract_y
_atom_site_fract_z
Mg1 Mg 0.0000 0.0000 0.0000
Mn1 Mn 0.0000 0.5000 0.0000
Sn1 Sn 0.0000 0.0000 0.5000
O1 O 0.0000 0.0000 0.2737
O2 O 0.0196 0.5098 0.2572
```



Entry 2:
Calculated XRD peak list of Li10V3Cr5O16 for λ = 1.5418 Å (Cu Kα), from a structure optimized by DFT (PBE+U).

Peak list (12 most intense, 2θ from 15° to 90°, in order of rising 2θ)
- 2θ = 18.0°, intensity 93
- 2θ = 19.2°, intensity 67
- 2θ = 19.4°, intensity 100
- 2θ = 34.8°, intensity 48
- 2θ = 35.0°, intensity 36
- 2θ = 35.3°, intensity 35
- 2θ = 35.4°, intensity 40
- 2θ = 35.8°, intensity 38
- 2θ = 44.2°, intensity 73
- 2θ = 44.5°, intensity 71
- 2θ = 61.3°, intensity 35
- 2θ = 61.7°, intensity 34

Structure:
```
data_Li10V3Cr5O16
_chemical_formula_sum 'Li10 V3 Cr5 O16'
_cell_length_a 5.9390
_cell_length_b 6.0128
_cell_length_c 9.8511
_cell_angle_alpha 89.83
_cell_angle_beta 89.82
_cell_angle_gamma 60.84
_space_group_name_H-M_alt 'P 1'
_space_group_IT_number 1
_space_group_name_Hall 'P 1'
loop_
_atom_site_label
_atom_site_type_symbol
_atom_site_fract_x
_atom_site_fract_y
_atom_site_fract_z
Li1 Li 0.0000 0.0000 0.0000
Li2 Li 0.0054 0.0132 0.4983
Li3 Li 0.1810 0.2171 0.9254
Li4 Li 0.1997 0.6193 0.9316
Li5 Li 0.3398 0.3488 0.7117
Li6 Li 0.3975 0.8066 0.4336
Li7 Li 0.6099 0.2228 0.9273
Li8 Li 0.6645 0.6621 0.2107
Li9 Li 0.7944 0.4007 0.4281
Li10 Li 0.8004 0.8226 0.4279
V1 V 0.1725 0.1733 0.1976
V2 V 0.6483 0.1739 0.1969
V3 V 0.8339 0.3517 0.6970
Cr1 Cr 0.1621 0.6711 0.1998
Cr2 Cr 0.3327 0.3398 0.4588
Cr3 Cr 0.3404 0.8463 0.7002
Cr4 Cr 0.6673 0.6751 0.9572
Cr5 Cr 0.8340 0.8461 0.6993
O1 O 0.0080 0.0039 0.8102
O2 O 0.0161 0.5022 0.3261
O3 O 0.1683 0.6854 0.5804
O4 O 0.1796 0.1687 0.5781
O5 O 0.3221 0.3545 0.0782
O6 O 0.3320 0.8306 0.0772
O7 O 0.4781 0.5047 0.3237
O8 O 0.4808 0.0326 0.3308
O9 O 0.5019 0.5355 0.8235
O10 O 0.5145 0.9917 0.8241
O11 O 0.6625 0.6934 0.5831
O12 O 0.6714 0.1705 0.5727
O13 O 0.8310 0.3340 0.0696
O14 O 0.8353 0.8311 0.0798
O15 O 0.9762 0.5383 0.8249
O16 O 0.9941 0.0009 0.3082
```



Please write out number 1 again, unchanged.
Calculated XRD peak list of MgMn3SnO8 for λ = 1.5418 Å (Cu Kα), from a structure optimized by DFT (PBE+U).

Peak list (12 most intense, 2θ from 15° to 90°, in order of rising 2θ)
- 2θ = 17.6°, intensity 17
- 2θ = 18.0°, intensity 100
- 2θ = 20.7°, intensity 22
- 2θ = 34.2°, intensity 19
- 2θ = 34.7°, intensity 29
- 2θ = 36.4°, intensity 22
- 2θ = 42.1°, intensity 79
- 2θ = 46.5°, intensity 13
- 2θ = 55.6°, intensity 12
- 2θ = 60.4°, intensity 22
- 2θ = 61.6°, intensity 23
- 2θ = 77.4°, intensity 11

Structure:
```
data_MgMn3SnO8
_chemical_formula_sum 'Mg3 Mn9 Sn3 O24'
_cell_length_a 6.0221
_cell_length_b 6.0221
_cell_length_c 15.1385
_cell_angle_alpha 90.00
_cell_angle_beta 90.00
_cell_angle_gamma 120.00
_space_group_name_H-M_alt 'R -3 m'
_space_group_IT_number 166
_space_group_name_Hall '-R 3 2"'
loop_
_atom_site_label
_atom_site_type_symbol
_atom_site_fract_x
_atom_site_fract_y
_atom_site_fract_z
Mg1 Mg 0.0000 0.0000 0.0000
Mn1 Mn 0.0000 0.5000 0.0000
Sn1 Sn 0.0000 0.0000 0.5000
O1 O 0.0000 0.0000 0.2737
O2 O 0.0196 0.5098 0.2572
```